The following is a calculated PXRD pattern of SrOsO2. It was derived from a DFT-relaxed cell (PBE, the Materials Project), using copper Kα.
Neutral-atom scattering factors, no anomalous dispersion.

Atomic structure:
```
16
Lattice="-3.1159 3.1159 6.1989 3.1159 -3.1159 6.1989 3.1159 3.1159 -6.1989" Properties=species:S:1:pos:R:3 pbc="T T T"
Sr 0.0000 0.0000 0.0000
Sr 1.5580 1.5580 -3.0995
Sr 1.5580 -1.5580 3.0995
Sr 0.0000 3.1159 0.0000
Os 3.1159 0.0000 0.0000
Os -1.5580 1.5580 3.0995
Os 0.0000 0.0000 6.1989
Os 1.5580 1.5580 3.0995
O 1.8696 1.5580 -0.5994
O 4.3623 1.5580 -0.5994
O 0.0000 0.3117 2.5001
O 3.1159 0.3117 3.6989
O 0.0000 2.8043 2.5001
O 3.1159 2.8043 3.6989
O -1.2463 1.5580 6.7984
O 1.2463 1.5580 6.7984
```

Peak list (10 most intense, 5 to 70 degrees two-theta, in order of falling intensity)
2θ 32.2, d 2.784, intensity 100.0; 2θ 28.8, d 3.099, intensity 44.1; 2θ 41.0, d 2.203, intensity 37.6; 2θ 50.8, d 1.796, intensity 35.7; 2θ 53.2, d 1.722, intensity 30.9; 2θ 69.1, d 1.360, intensity 24.9; 2θ 15.9, d 5.568, intensity 20.0; 2θ 67.3, d 1.392, intensity 15.3; 2θ 25.9, d 3.444, intensity 12.2; 2θ 59.3, d 1.558, intensity 12.0